Structure and calculated X-ray powder pattern of B7C5 (a cell relaxed with PBE; Cu Kα).
Lines closer than 0.1° are merged.

Main lines, sorted by position (2θ = 10–90°):
hkl, d (Å), 2θ (°), I (rel.)
0 0 2, 4.310, 20.61, 37
1 0 -1, 4.091, 21.72, 100
1 0 2, 3.160, 28.24, 12
0 1 2, 2.288, 39.37, 16
1 1 1, 2.254, 40.01, 24
0 0 4, 2.155, 41.93, 9
2 0 -2, 2.045, 44.29, 18
3 0 -3, 1.364, 68.84, 6
0 2 0, 1.350, 69.63, 6
3 1 -1, 1.328, 70.99, 6

Atomic structure:
Lattice parameters (Å, degrees): 4.6471 2.7006 8.6195 90.00 90.04 90.00
Space group Pm (No. 6)
Asymmetric unit:
B 0.0000 0.0000 0.0000
B 0.0135 0.5000 0.5583
B 0.2808 0.5000 0.7936
B 0.4206 0.0000 0.0488
B 0.5131 0.0000 0.5800
B 0.7492 0.0000 0.3491
B 0.8402 0.5000 0.0908
C 0.2460 0.0000 0.8831
C 0.3477 0.5000 0.6118
C 0.4974 0.5000 0.1251
C 0.6948 0.5000 0.2643
C 0.8481 0.0000 0.5275

Structure and calculated X-ray powder pattern of In2Ag5Au2 (a cell relaxed with PBE; Cu Kα).
Lines closer than 0.1° are merged.

Main lines, sorted by position (2θ = 10–90°):
hkl, d (Å), 2θ (°), I (rel.)
0 4 2, 2.755, 32.50, 94
1 3 2, 2.651, 33.81, 51
1 6 1, 2.543, 35.29, 43
0 7 1, 2.490, 36.07, 67
2 4 0, 2.444, 36.77, 80
2 3 1, 2.433, 36.95, 86
2 0 2, 2.193, 41.16, 100
0 3 3, 2.134, 42.35, 68
1 8 1, 2.065, 43.84, 43
2 7 3, 1.482, 62.69, 43

Atomic structure:
Lattice parameters (Å, degrees): 5.7324 18.7261 6.8136 90.00 90.00 90.00
Space group Imma (No. 74)
Asymmetric unit:
In 0.0000 0.0000 0.0000
In 0.0000 0.2500 0.0538
Ag 0.0000 0.2500 0.4519
Ag 0.2500 0.1195 0.2500
Ag 0.2500 0.1732 0.7500
Au 0.0000 0.0609 0.6005

Structure and calculated X-ray powder pattern of LiGa4Au (a cell relaxed with PBE; Cu Kα).
Lines closer than 0.1° are merged.

Main lines, sorted by position (2θ = 10–90°):
hkl, d (Å), 2θ (°), I (rel.)
0 0 1, 5.374, 16.50, 70
2 0 -1, 3.920, 22.68, 54
1 1 -1, 3.413, 26.11, 69
1 1 1, 3.033, 29.45, 25
2 0 -2, 2.616, 34.28, 29
3 1 0, 2.431, 36.98, 100
1 1 -2, 2.368, 37.99, 70
0 2 0, 2.252, 40.04, 53
1 1 2, 2.113, 42.80, 41
3 1 1, 2.050, 44.18, 64

Atomic structure:
Lattice parameters (Å, degrees): 8.9866 4.5038 5.5746 90.00 105.43 90.00
Space group Cm (No. 8)
Asymmetric unit:
Li 0.0000 0.0000 0.0000
Ga 0.1250 0.5000 0.7569
Ga 0.1959 0.5000 0.2571
Ga 0.3046 0.0000 0.7449
Ga 0.3757 0.0000 0.2450
Au 0.0004 0.0000 0.5005

Structure and calculated X-ray powder pattern of Na5B7C3 (a cell relaxed with PBE; Cu Kα).
Lines closer than 0.1° are merged.

Main lines, sorted by position (2θ = 10–90°):
hkl, d (Å), 2θ (°), I (rel.)
1 0 2, 2.515, 35.71, 19
1 2 -3, 2.168, 41.65, 100
2 2 -1, 2.157, 41.88, 51
0 4 0, 2.141, 42.20, 38
1 4 2, 1.630, 56.44, 10
0 0 5, 1.455, 63.98, 9
3 0 1, 1.445, 64.49, 17
1 6 -3, 1.242, 76.77, 12
2 2 4, 1.206, 79.44, 11
3 4 1, 1.198, 80.12, 22

Atomic structure:
Lattice parameters (Å, degrees): 4.9933 8.5660 7.6914 90.00 108.91 90.00
Space group Pm (No. 6)
Asymmetric unit:
Na 0.0000 0.2447 0.0000
Na 0.2016 0.2464 0.4005
Na 0.4020 0.2489 0.8004
Na 0.5986 0.2447 0.1997
Na 0.8033 0.2487 0.5993
B 0.0663 0.0000 0.8000
B 0.0708 0.5000 0.8015
B 0.1328 0.5000 0.5989
B 0.2842 0.0000 0.2006
B 0.3456 0.5000 0.0116
B 0.4661 0.0000 0.6000
B 0.4837 0.5000 0.6001
B 0.5118 0.5000 0.3816
B 0.6579 0.0000 0.9885
B 0.7309 0.5000 0.8172
B 0.8682 0.5000 0.3985
B 0.8699 0.0000 0.4121
B 0.9329 0.0000 0.2003
B 0.9331 0.5000 0.1876
C 0.1317 0.0000 0.6060
C 0.2591 0.5000 0.1959
C 0.3321 0.0000 0.9973
C 0.5350 0.0000 0.4030
C 0.6632 0.5000 0.0037
C 0.7257 0.0000 0.7942

Structure and calculated X-ray powder pattern of TmGa12Rh6 (a cell relaxed with PBE; Cu Kα).
Lines closer than 0.1° are merged.

Main lines, sorted by position (2θ = 10–90°):
hkl, d (Å), 2θ (°), I (rel.)
2 1 1, 3.410, 26.14, 66
1 2 2, 2.809, 31.86, 36
1 3 1, 2.598, 34.52, 100
1 1 3, 2.554, 35.13, 72
3 1 2, 2.301, 39.15, 31
3 2 1, 2.181, 41.40, 65
0 3 3, 2.155, 41.93, 55
2 3 2, 1.996, 45.43, 50
0 2 4, 1.966, 46.17, 79
5 0 2, 1.787, 51.10, 64

Atomic structure:
Lattice parameters (Å, degrees): 11.3510 11.3510 8.5812 90.00 90.00 120.00
Space group R-3m (No. 166, hexagonal axes)
Asymmetric unit:
Tm 0.0000 0.0000 0.0000
Ga 0.0000 0.3867 0.5000
Ga 0.0876 0.1753 0.3117
Rh 0.0489 0.5245 0.2470

Structure and calculated X-ray powder pattern of Pm8Y2Tm (a cell relaxed with PBE; Cu Kα).
Lines closer than 0.1° are merged.

Main lines, sorted by position (2θ = 10–90°):
hkl, d (Å), 2θ (°), I (rel.)
4 0 -1, 3.842, 23.15, 37
0 2 1, 3.034, 29.44, 90
5 1 0, 2.932, 30.49, 70
4 0 -2, 2.891, 30.93, 63
2 0 2, 2.875, 31.10, 100
3 1 -2, 2.856, 31.33, 78
2 2 1, 2.757, 32.48, 94
6 0 0, 2.707, 33.09, 25
0 4 0, 1.704, 53.80, 25
2 4 2, 1.466, 63.45, 27

Atomic structure:
Lattice parameters (Å, degrees): 16.6042 6.8171 6.8085 90.00 102.10 90.00
Space group C2/m (No. 12)
Asymmetric unit:
Pm 0.0854 0.2346 0.4050
Pm 0.0936 0.0000 0.9218
Pm 0.1943 0.5000 0.7977
Y 0.2411 0.5000 0.3100
Tm 0.0000 0.5000 0.0000

What is the formula in the third record?
LiGa4Au

Please write out number 3 again, unchanged.
Structure and calculated X-ray powder pattern of LiGa4Au (a cell relaxed with PBE; Cu Kα).
Lines closer than 0.1° are merged.

Main lines, sorted by position (2θ = 10–90°):
hkl, d (Å), 2θ (°), I (rel.)
0 0 1, 5.374, 16.50, 70
2 0 -1, 3.920, 22.68, 54
1 1 -1, 3.413, 26.11, 69
1 1 1, 3.033, 29.45, 25
2 0 -2, 2.616, 34.28, 29
3 1 0, 2.431, 36.98, 100
1 1 -2, 2.368, 37.99, 70
0 2 0, 2.252, 40.04, 53
1 1 2, 2.113, 42.80, 41
3 1 1, 2.050, 44.18, 64

Atomic structure:
Lattice parameters (Å, degrees): 8.9866 4.5038 5.5746 90.00 105.43 90.00
Space group Cm (No. 8)
Asymmetric unit:
Li 0.0000 0.0000 0.0000
Ga 0.1250 0.5000 0.7569
Ga 0.1959 0.5000 0.2571
Ga 0.3046 0.0000 0.7449
Ga 0.3757 0.0000 0.2450
Au 0.0004 0.0000 0.5005